(1)
For Er4GaAu3, a crystal structure in Alexandria, relaxed with PBE gives the simulated powder diffractogram in this record (copper Kα).

Structure:
Cell: 3.675 4.629 10.994 Å, 90.00 90.00 90.00°
Space group Pmm2 (No. 25)
Inequivalent atoms, fractional coordinates:
Er 0.000 0.000 0.000 x1
Er 0.000 0.500 0.280 x1
Er 0.500 0.000 0.495 x1
Er 0.500 0.500 0.783 x1
Ga 0.000 0.000 0.723 x1
Au 0.000 0.500 0.557 x1
Au 0.500 0.000 0.227 x1
Au 0.500 0.500 0.052 x1

Top 8 peaks for 2θ from 15° to 90°, sorted by position:
index  two_theta  I (rel.)
1 1 1  32.1  100
0 0 4  32.6  31
1 0 3  34.6  18
0 1 4  38.1  30
0 2 0  38.9  36
1 1 3  39.8  71
2 0 0  49.6  18
0 2 4  51.6  17


(2)
For Er3P2Rh7, a crystal structure in Alexandria, relaxed with PBE gives the simulated powder diffractogram in this record (copper Kα).

Structure:
Cell: 4.090 26.209 4.002 Å, 90.00 90.00 90.00°
Space group Cmmm (No. 65)
Inequivalent atoms, fractional coordinates:
Er 0.000 0.000 0.000 x2
Er 0.000 0.200 0.000 x4
P 0.000 0.414 0.500 x4
Rh 0.000 0.123 0.500 x4
Rh 0.000 0.292 0.500 x4
Rh 0.000 0.375 0.000 x4
Rh 0.000 0.500 0.500 x2

Top 8 peaks for 2θ from 15° to 90°, sorted by position:
index  two_theta  I (rel.)
0 10 0  34.2  18
1 5 1  35.8  100
1 7 1  39.7  19
2 0 0  44.3  20
0 0 2  45.3  19
1 11 1  49.8  14
2 0 2  65.2  13
3 5 1  75.9  12


(3)
For Nd2Y3Tm9, a crystal structure in Alexandria, relaxed with PBE gives the simulated powder diffractogram in this record (copper Kα).

Structure:
Cell: 6.377 8.334 8.843 Å, 87.70 82.98 71.07°
Space group P1 (No. 1)
Inequivalent atoms, fractional coordinates:
Nd 0.000 0.000 0.000 x1
Nd 0.151 0.651 0.197 x1
Y 0.472 0.035 0.793 x1
Y 0.619 0.344 0.166 x1
Y 0.803 0.548 0.449 x1
Tm 0.077 0.387 0.952 x1
Tm 0.189 0.170 0.287 x1
Tm 0.311 0.822 0.504 x1
Tm 0.346 0.390 0.545 x1
Tm 0.506 0.579 0.827 x1
Tm 0.605 0.787 0.123 x1
Tm 0.752 0.984 0.416 x1
Tm 0.926 0.198 0.665 x1
Tm 0.950 0.733 0.747 x1

Top 8 peaks for 2θ from 15° to 90°, sorted by position:
index  two_theta  I (rel.)
0 2 2  30.5  41
1 2 -2  31.7  100
1 -2 1  32.0  53
1 0 3  32.5  36
2 0 -1  32.7  80
2 1 2  32.9  19
1 3 1  33.6  24
1 4 0  43.5  14


(4)
For Cu7NiAu4, a crystal structure in Alexandria, relaxed with PBE gives the simulated powder diffractogram in this record (copper Kα).

Structure:
Cell: 4.615 5.664 6.971 Å, 73.61 87.25 89.40°
Space group P-1 (No. 2)
Inequivalent atoms, fractional coordinates:
Cu 0.000 0.000 0.000 x1
Cu 0.255 0.407 0.957 x2
Cu 0.277 0.204 0.660 x2
Cu 0.286 0.690 0.621 x2
Ni 0.500 0.000 0.000 x1
Au 0.220 0.081 0.321 x2
Au 0.231 0.595 0.261 x2

Top 8 peaks for 2θ from 15° to 90°, sorted by position:
index  two_theta  I (rel.)
1 0 1  22.9  56
1 0 -1  24.0  51
1 -2 0  38.4  44
2 0 0  39.1  100
0 0 3  40.5  46
1 2 2  40.8  71
-1 2 2  41.9  56
1 2 -1  44.3  61


Copy entry 3 word for word.
For Nd2Y3Tm9, a crystal structure in Alexandria, relaxed with PBE gives the simulated powder diffractogram in this record (copper Kα).

Structure:
Cell: 6.377 8.334 8.843 Å, 87.70 82.98 71.07°
Space group P1 (No. 1)
Inequivalent atoms, fractional coordinates:
Nd 0.000 0.000 0.000 x1
Nd 0.151 0.651 0.197 x1
Y 0.472 0.035 0.793 x1
Y 0.619 0.344 0.166 x1
Y 0.803 0.548 0.449 x1
Tm 0.077 0.387 0.952 x1
Tm 0.189 0.170 0.287 x1
Tm 0.311 0.822 0.504 x1
Tm 0.346 0.390 0.545 x1
Tm 0.506 0.579 0.827 x1
Tm 0.605 0.787 0.123 x1
Tm 0.752 0.984 0.416 x1
Tm 0.926 0.198 0.665 x1
Tm 0.950 0.733 0.747 x1

Top 8 peaks for 2θ from 15° to 90°, sorted by position:
index  two_theta  I (rel.)
0 2 2  30.5  41
1 2 -2  31.7  100
1 -2 1  32.0  53
1 0 3  32.5  36
2 0 -1  32.7  80
2 1 2  32.9  19
1 3 1  33.6  24
1 4 0  43.5  14


Please write out number 1 again, unchanged.
For Er4GaAu3, a crystal structure in Alexandria, relaxed with PBE gives the simulated powder diffractogram in this record (copper Kα).

Structure:
Cell: 3.675 4.629 10.994 Å, 90.00 90.00 90.00°
Space group Pmm2 (No. 25)
Inequivalent atoms, fractional coordinates:
Er 0.000 0.000 0.000 x1
Er 0.000 0.500 0.280 x1
Er 0.500 0.000 0.495 x1
Er 0.500 0.500 0.783 x1
Ga 0.000 0.000 0.723 x1
Au 0.000 0.500 0.557 x1
Au 0.500 0.000 0.227 x1
Au 0.500 0.500 0.052 x1

Top 8 peaks for 2θ from 15° to 90°, sorted by position:
index  two_theta  I (rel.)
1 1 1  32.1  100
0 0 4  32.6  31
1 0 3  34.6  18
0 1 4  38.1  30
0 2 0  38.9  36
1 1 3  39.8  71
2 0 0  49.6  18
0 2 4  51.6  17